No. 1
Computed powder XRD pattern of PuNpPaSi for Cu Kα, 1.54184 Å, from DFT lattice parameters and positions (PBE).
Neutral-atom scattering factors, no anomalous dispersion.

The 9 most intense peaks (5° ≤ 2θ ≤ 70°), in order of rising 2θ:
2θ = 22.7°, rel. 18, hkl 1 1 1; 2θ = 26.3°, rel. 9, hkl 2 0 0; 2θ = 37.5°, rel. 100, hkl 2 2 0; 2θ = 44.3°, rel. 10, hkl 3 1 1; 2θ = 46.4°, rel. 3, hkl 2 2 2; 2θ = 54.1°, rel. 18, hkl 4 0 0; 2θ = 59.4°, rel. 4, hkl 3 3 1; 2θ = 61.1°, rel. 4, hkl 4 2 0; 2θ = 67.7°, rel. 37, hkl 4 2 2

Cell and atoms:
```
data_PuNpPaSi
_cell_length_a 6.7803
_cell_length_b 6.7803
_cell_length_c 6.7803
_cell_angle_alpha 90.00
_cell_angle_beta 90.00
_cell_angle_gamma 90.00
_symmetry_space_group_name_H-M 'F -4 3 m'
_symmetry_Int_Tables_number 216
_symmetry_space_group_name_Hall 'F -4 2 3'
loop_
_atom_site_label
_atom_site_fract_x
_atom_site_fract_y
_atom_site_fract_z
Pu1 0.0000 0.0000 0.0000
Np1 0.2500 0.2500 0.2500
Pa1 0.0000 0.0000 0.5000
Si1 0.2500 0.2500 0.7500
```

No. 2
Computed powder XRD pattern of NpPaRu4 for Cu Kα, 1.54184 Å, from DFT lattice parameters and positions (PBE).
Neutral-atom scattering factors, no anomalous dispersion.

The 12 most intense peaks (5° ≤ 2θ ≤ 70°), in order of rising 2θ:
2θ = 21.6°, rel. 10, hkl 2 0 0; 2θ = 24.7°, rel. 19, hkl 0 0 2; 2θ = 28.1°, rel. 20, hkl 1 1 0; 2θ = 35.2°, rel. 100, hkl 1 1 -2; 2θ = 38.3°, rel. 36, hkl 2 0 2; 2θ = 42.2°, rel. 50, hkl 3 1 0; 2θ = 42.9°, rel. 20, hkl 4 0 -2; 2θ = 47.9°, rel. 19, hkl 2 0 -4; 2θ = 53.2°, rel. 16, hkl 0 2 0; 2θ = 55.3°, rel. 14, hkl 3 1 2; 2θ = 62.4°, rel. 17, hkl 1 1 4; 2θ = 67.4°, rel. 14, hkl 2 2 2

Cell and atoms:
```
data_NpPaRu4
_cell_length_a 8.7043
_cell_length_b 3.4414
_cell_length_c 7.6473
_cell_angle_alpha 90.00
_cell_angle_beta 109.36
_cell_angle_gamma 90.00
_symmetry_space_group_name_H-M 'C 1 2/m 1'
_symmetry_Int_Tables_number 12
loop_
_symmetry_equiv_pos_as_xyz
'x,y,z'
'-x,-y,-z'
'-x,y,-z'
'x,-y,z'
'x+1/2,y+1/2,z'
'-x+1/2,-y+1/2,-z'
'-x+1/2,y+1/2,-z'
'x+1/2,-y+1/2,z'
loop_
_atom_site_label
_atom_site_fract_x
_atom_site_fract_y
_atom_site_fract_z
Np1 0.0000 0.0000 0.0000
Pa1 0.0000 0.0000 0.5000
Ru1 0.1452 0.5000 0.3550
Ru2 0.2156 0.5000 0.8470
```

No. 3
Computed powder XRD pattern of Np2Pa2S7 for Cu Kα, 1.54184 Å, from DFT lattice parameters and positions (PBE).
Neutral-atom scattering factors, no anomalous dispersion.

The 12 most intense peaks (5° ≤ 2θ ≤ 70°), in order of rising 2θ:
2θ = 24.5°, rel. 100, hkl 0 2 2; 2θ = 25.1°, rel. 58, hkl 1 0 1; 2θ = 25.6°, rel. 46, hkl 0 4 0; 2θ = 28.2°, rel. 59, hkl 1 2 1; 2θ = 36.1°, rel. 79, hkl 1 4 1; 2θ = 41.4°, rel. 55, hkl 1 2 3; 2θ = 44.5°, rel. 33, hkl 0 6 2; 2θ = 46.5°, rel. 19, hkl 2 0 0; 2θ = 46.8°, rel. 18, hkl 1 6 1; 2θ = 53.2°, rel. 26, hkl 2 2 2; 2θ = 56.4°, rel. 16, hkl 1 6 3; 2θ = 66.3°, rel. 21, hkl 2 6 2

Cell and atoms:
```
data_Np2Pa2S7
_cell_length_a 3.9098
_cell_length_b 13.9108
_cell_length_c 8.5060
_cell_angle_alpha 90.00
_cell_angle_beta 90.00
_cell_angle_gamma 90.00
_symmetry_space_group_name_H-M 'I m m 2'
_symmetry_Int_Tables_number 44
loop_
_symmetry_equiv_pos_as_xyz
'x,y,z'
'-x,-y,z'
'-x,y,z'
'x,-y,z'
'x+1/2,y+1/2,z+1/2'
'-x+1/2,-y+1/2,z+1/2'
'-x+1/2,y+1/2,z+1/2'
'x+1/2,-y+1/2,z+1/2'
loop_
_atom_site_label
_atom_site_fract_x
_atom_site_fract_y
_atom_site_fract_z
Np1 0.0000 0.0000 0.0000
Np2 0.0000 0.5000 0.0497
Pa1 0.0000 0.2584 0.8071
S1 0.0000 0.1404 0.4965
S2 0.0000 0.1842 0.1096
S3 0.0000 0.3878 0.3293
S4 0.0000 0.5000 0.7302
```

No. 4
Computed powder XRD pattern of Np6PaS12 for Cu Kα, 1.54184 Å, from DFT lattice parameters and positions (PBE).
Neutral-atom scattering factors, no anomalous dispersion.

The 12 most intense peaks (5° ≤ 2θ ≤ 70°), in order of rising 2θ:
2θ = 23.9°, rel. 30, hkl 0 0 3; 2θ = 24.0°, rel. 100, hkl 3 -1 1; 2θ = 27.8°, rel. 36, hkl 1 2 2; 2θ = 28.2°, rel. 8, hkl 1 1 3; 2θ = 32.1°, rel. 8, hkl 4 -3 1; 2θ = 39.6°, rel. 30, hkl 3 -1 4; 2θ = 39.8°, rel. 33, hkl 4 1 0; 2θ = 41.2°, rel. 11, hkl 2 3 2; 2θ = 46.8°, rel. 12, hkl 1 2 5; 2θ = 47.0°, rel. 39, hkl 2 4 1; 2θ = 49.2°, rel. 11, hkl 6 -2 2; 2θ = 63.3°, rel. 8, hkl 8 -5 1

Cell and atoms:
```
data_Np6PaS12
_cell_length_a 11.9869
_cell_length_b 11.9869
_cell_length_c 11.1817
_cell_angle_alpha 90.00
_cell_angle_beta 90.00
_cell_angle_gamma 120.00
_symmetry_space_group_name_H-M 'R -3'
_symmetry_Int_Tables_number 148
_symmetry_space_group_name_Hall '-R 3'
loop_
_atom_site_label
_atom_site_fract_x
_atom_site_fract_y
_atom_site_fract_z
Np1 0.0455 0.7797 0.1420
Pa1 0.0000 0.0000 0.5000
S1 0.0331 0.8155 0.8952
S2 0.0497 0.8390 0.3833
```